Diffraction record for CeNd6Er3. The powder XRD pattern is simulated, not measured: it uses a DFT-relaxed cell (GGA-PBE, Alexandria) and Cu Kα (weighted mean of Kα1 and Kα2).
Peak positions follow from Bragg's law for the DFT cell and can differ from measured ones.

Top 8 peaks for 2θ = 10–80°, sorted by position:
2θ/deg	I/Imax	(hkl)
23.85	21	0 1 3
29.93	24	1 2 2
30.60	39	1 0 -4
31.24	100	1 3 -1
31.41	30	1 1 3
32.29	23	2 0 0
32.56	24	2 0 -2
34.84	31	0 3 3

Atomic structure:
a b c (Å): 5.6736 10.0615 12.3410
angles (deg): 90.00 102.22 90.00
Fractional positions:
Ce (0.0000, 0.0000, 0.0000)
Ce (0.0000, 0.5000, 0.5000)
Nd (0.0038, 0.1843, 0.5004)
Nd (0.0038, 0.3157, 0.0004)
Nd (0.1147, 0.0013, 0.2633)
Nd (0.1147, 0.4987, 0.7633)
Nd (0.4188, 0.1702, 0.8519)
Nd (0.4188, 0.3298, 0.3519)
Nd (0.5812, 0.6702, 0.6481)
Nd (0.5812, 0.8298, 0.1481)
Nd (0.8853, 0.5013, 0.2367)
Nd (0.8853, 0.9987, 0.7367)
Nd (0.9962, 0.6843, 0.9996)
Nd (0.9962, 0.8157, 0.4996)
Er (0.4173, 0.6673, 0.3662)
Er (0.4173, 0.8327, 0.8662)
Er (0.5000, 0.0000, 0.5000)
Er (0.5000, 0.5000, 0.0000)
Er (0.5827, 0.1673, 0.1338)
Er (0.5827, 0.3327, 0.6338)